CoHBrO: theoretical XRD peak list (Cu Kα), based on a GGA+U-relaxed structure.

Top 12 peaks for 2θ = 10–90°, in order of falling intensity:
(hkl)	two_theta	d (Å)	Rel. int.
0 1 0	25.21	3.532	100.0
0 0 1	17.26	5.138	93.3
1 0 1	30.41	2.939	79.2
1 0 -1	27.12	3.288	78.3
0 1 1	30.72	2.911	76.7
0 2 0	51.79	1.765	55.3
1 1 -2	47.66	1.908	51.6
1 1 1	39.90	2.259	49.4
1 0 -2	39.75	2.267	32.1
1 1 -1	37.37	2.407	31.7
2 0 0	46.77	1.942	26.0
0 1 3	60.03	1.541	23.1

Cell and atoms:
```
CoHBrO
1.0
3.9114 0.0000 0.0000
0.0000 3.5323 0.0000
-0.6004 0.0000 5.1381
Co H Br O
1 1 1 1
Direct
0.0000 0.0000 0.0000
0.1716 0.5000 0.3279
0.4502 0.0000 0.7032
0.0031 0.5000 0.1722
```